Ho2ErCd3Ag3: computed X-ray diffraction stick pattern (a wavelength of 1.5418 Å), based on a DFT-relaxed cell (PBE, OQMD).
Intensities are scaled so that the largest is 100.

The 6 most intense peaks (2θ from 15° to 90°), by angle:
2theta, I (rel.)
32.47, 100.0
35.03, 42.5
35.14, 81.5
39.91, 42.0
46.75, 21.6
64.56, 30.7

Cell and atoms:
Lattice parameters (Å, degrees): 3.886 7.823 7.823 119.96 90.00 90.00
Element x y z (fractional)
Ho  0.000  0.202  0.798
Ho  0.000  0.798  0.202
Er  0.000  0.607  0.607
Cd  0.500  0.202  0.466
Cd  0.500  0.466  0.202
Cd  0.500  0.938  0.938
Ag  0.000  0.203  0.203
Ag  0.500  0.536  0.868
Ag  0.500  0.868  0.536

=====

Pm6HoSe8: computed X-ray diffraction stick pattern (a wavelength of 1.5418 Å), based on a DFT-relaxed cell (PBE, OQMD).
Intensities are scaled so that the largest is 100.

The 6 most intense peaks (2θ from 15° to 90°), by angle:
2theta, I (rel.)
30.33, 100.0
43.43, 74.3
53.89, 26.2
63.09, 12.2
71.60, 33.4
79.70, 25.0

Cell and atoms:
Lattice parameters (Å, degrees): 8.335 8.335 8.335 60.00 60.00 60.00
Element x y z (fractional)
Pm  0.000  0.000  0.500
Pm  0.000  0.500  0.000
Pm  0.000  0.500  0.500
Pm  0.500  0.000  0.000
Pm  0.500  0.000  0.500
Pm  0.500  0.500  0.000
Ho  0.000  0.000  0.000
Se  0.247  0.247  0.753
Se  0.247  0.753  0.247
Se  0.247  0.753  0.753
Se  0.250  0.250  0.250
Se  0.750  0.750  0.750
Se  0.753  0.247  0.247
Se  0.753  0.247  0.753
Se  0.753  0.753  0.247

=====

GdSiPd: computed X-ray diffraction stick pattern (a wavelength of 1.5418 Å), based on a DFT-relaxed cell (PBE, OQMD).
Intensities are scaled so that the largest is 100.

The 6 most intense peaks (2θ from 15° to 90°), by angle:
2theta, I (rel.)
23.66, 14.8
34.07, 25.2
34.90, 100.0
41.52, 22.3
41.75, 29.7
55.37, 15.9

Cell and atoms:
Lattice parameters (Å, degrees): 4.350 14.106 7.481 90.00 90.00 90.00
Element x y z (fractional)
Gd  0.250  0.002  0.208
Gd  0.250  0.250  0.301
Gd  0.250  0.498  0.208
Gd  0.250  0.750  0.293
Gd  0.750  0.250  0.707
Gd  0.750  0.502  0.792
Gd  0.750  0.750  0.699
Gd  0.750  0.998  0.792
Si  0.250  0.103  0.592
Si  0.250  0.397  0.592
Si  0.250  0.658  0.910
Si  0.250  0.842  0.910
Si  0.750  0.158  0.090
Si  0.750  0.342  0.090
Si  0.750  0.603  0.408
Si  0.750  0.897  0.408
Pd  0.250  0.142  0.923
Pd  0.250  0.358  0.923
Pd  0.250  0.594  0.582
Pd  0.250  0.906  0.582
Pd  0.750  0.094  0.418
Pd  0.750  0.406  0.418
Pd  0.750  0.642  0.077
Pd  0.750  0.858  0.077